Starting from a DFT-relaxed cell (PBE, OQMD), the X-ray diffraction stick pattern of Sc3SiTc2 was simulated for λ = 1.5418 Å (Cu Kα).
Peak positions follow from Bragg's law for the DFT cell and can differ from measured ones.

a = 3.279 Å, b = 3.279 Å, c = 9.999 Å
α = 90.00°, β = 90.00°, γ = 90.00°
Space group P4mm (No. 99)
Asymmetric unit:
1 Sc 0.000 0.000 0.000 x1
2 Sc 0.000 0.000 0.300 x1
3 Sc 0.500 0.500 0.751 x1
4 Si 0.500 0.500 0.471 x1
5 Tc 0.000 0.000 0.584 x1
6 Tc 0.500 0.500 0.149 x1

The 10 most intense peaks (2θ = 10–90°), sorted by position:
2θ 17.7, d 5.000, I = 44
2θ 28.7, d 3.116, I = 25
2θ 32.7, d 2.742, I = 21
2θ 38.5, d 2.337, I = 100
2θ 38.8, d 2.319, I = 72
2θ 43.0, d 2.103, I = 18
2θ 45.6, d 1.988, I = 28
2θ 56.1, d 1.640, I = 23
2θ 70.1, d 1.342, I = 31
2θ 75.1, d 1.265, I = 12